For NiRhO3, a GGA+U-relaxed structure gives the simulated powder diffractogram in this record (Cu Kα).

Main lines, by intensity (2θ = 10–90°):
d_spacing  2theta  Rel. int.  index
2.735  32.74  100  2 2 1
2.497  35.96  91  1 3 -1
3.067  29.11  65  3 1 0
2.684  33.38  62  0 0 2
2.848  31.41  61  2 2 -1
4.914  18.05  52  2 0 0
1.520  60.94  36  1 3 -3
1.535  60.31  35  5 3 1
1.584  58.23  30  5 3 -1
2.457  36.57  26  4 0 0

Crystal structure
Unit cell a=9.8519 b=8.7354 c=5.3812 alpha=90.00 beta=93.99 gamma=90.00
Space group C2/c (No. 15)
Symmetry-distinct sites (fractional):
Ni 0.1954 0.1013 0.2973
Rh 0.0000 0.2278 0.7500
Rh 0.0000 0.4090 0.2500
O 0.1019 0.2491 0.0816
O 0.1038 0.4127 0.5971
O 0.1372 0.0889 0.6355